Structure and calculated X-ray powder pattern of Ca2Zn6CuPt (a structure optimized by DFT (PBE); Cu Kα (λ = 1.5418 Å)).
Intensities are scaled so that the largest is 100.

Main lines, by angle (15 to 90 degrees two-theta):
| h k l | two_theta | I/Imax |
| --- | --- | --- |
| 1 1 1 | 16.15 | 19 |
| 2 0 0 | 18.67 | 99 |
| 2 2 0 | 26.53 | 36 |
| 3 1 1 | 31.22 | 18 |
| 2 2 2 | 32.64 | 22 |
| 4 0 0 | 37.87 | 100 |
| 4 2 0 | 42.54 | 49 |
| 4 2 2 | 46.83 | 15 |
| 4 4 0 | 54.63 | 66 |
| 6 0 0 | 58.25 | 24 |
| 4 4 4 | 68.39 | 22 |
| 6 4 4 | 83.97 | 14 |

Atomic structure:
Cell: 9.5031 9.5031 9.5031 Å, 90.00 90.00 90.00°
Space group Fm-3m (No. 225)
Asymmetric unit:
1 Ca 0.2500 0.2500 0.2500
2 Zn 0.0000 0.0000 0.2433
3 Cu 0.0000 0.0000 0.0000
4 Pt 0.0000 0.0000 0.5000